Computed XRD peak list of MgNi2Sb4O12 for Cu Kα (λ = 1.5418 Å), from a PBE+U-relaxed structure.

Structural model:
```
data_MgNi2Sb4O12
_cell_length_a 4.8966
_cell_length_b 9.6608
_cell_length_c 5.0293
_cell_angle_alpha 90.00
_cell_angle_beta 91.15
_cell_angle_gamma 90.00
_space_group_name_H-M_alt 'P 1'
_space_group_IT_number 1
_space_group_name_Hall 'P 1'
loop_
_atom_site_label
_atom_site_fract_x
_atom_site_fract_y
_atom_site_fract_z
Mg1 0.0000 0.0000 0.0000
Ni1 0.0000 0.2674 0.5000
Ni2 0.5000 0.7610 0.0000
Sb1 0.0000 0.5889 0.5000
Sb2 0.0000 0.9089 0.5000
Sb3 0.5000 0.1300 0.0000
Sb4 0.5000 0.4498 0.0000
O1 0.1708 0.0832 0.3115
O2 0.1923 0.7509 0.3173
O3 0.1999 0.4399 0.3057
O4 0.2778 0.9126 0.7956
O5 0.2989 0.5975 0.8056
O6 0.3056 0.2901 0.8126
O7 0.6944 0.2901 0.1874
O8 0.7011 0.5975 0.1944
O9 0.7222 0.9126 0.2044
O10 0.8001 0.4399 0.6943
O11 0.8077 0.7509 0.6827
O12 0.8292 0.0832 0.6885
```

Main lines, by angle (5 to 70 degrees two-theta):
2θ (°)  intensity
25.13  100
25.65  93
33.03  63
33.30  68
35.71  25
36.71  23
49.34  32
49.92  61
50.50  27
51.59  19
52.71  19
62.47  19


Computed XRD peak list of MgNi2Sb4O12 for Cu Kα (λ = 1.5418 Å), from a PBE+U-relaxed structure.

Structural model:
```
data_MgNi2Sb4O12
_cell_length_a 5.3312
_cell_length_b 5.3312
_cell_length_c 9.4942
_cell_angle_alpha 94.30
_cell_angle_beta 94.30
_cell_angle_gamma 76.82
_space_group_name_H-M_alt 'P 1'
_space_group_IT_number 1
_space_group_name_Hall 'P 1'
loop_
_atom_site_label
_atom_site_fract_x
_atom_site_fract_y
_atom_site_fract_z
Mg1 0.0000 0.0000 0.0000
Ni1 0.2886 0.2886 0.1603
Ni2 0.6963 0.6963 0.6521
Sb1 0.1564 0.1564 0.4610
Sb2 0.2698 0.2698 0.7894
Sb3 0.6596 0.6596 0.9870
Sb4 0.7187 0.7187 0.3196
O1 0.0342 0.4172 0.6202
O2 0.0356 0.4142 0.3145
O3 0.3710 0.9718 0.0037
O4 0.4142 0.0356 0.3145
O5 0.4172 0.0342 0.6202
O6 0.5129 0.5129 0.8040
O7 0.5272 0.5272 0.1558
O8 0.5754 0.5754 0.4637
O9 0.8260 0.8260 0.8499
O10 0.8452 0.8452 0.1497
O11 0.9244 0.9244 0.4570
O12 0.9718 0.3710 0.0037
```

Main lines, by angle (5 to 70 degrees two-theta):
2θ (°)  intensity
19.04  36
21.37  100
26.92  87
29.95  20
32.37  57
34.18  47
34.62  27
35.55  20
40.70  16
43.56  21
51.10  23
52.37  21


Computed XRD peak list of MgNi2Sb4O12 for Cu Kα (λ = 1.5418 Å), from a PBE+U-relaxed structure.

Structural model:
```
data_MgNi2Sb4O12
_cell_length_a 4.8666
_cell_length_b 9.5991
_cell_length_c 4.9591
_cell_angle_alpha 90.00
_cell_angle_beta 92.08
_cell_angle_gamma 90.00
_space_group_name_H-M_alt 'P 1'
_space_group_IT_number 1
_space_group_name_Hall 'P 1'
loop_
_atom_site_label
_atom_site_fract_x
_atom_site_fract_y
_atom_site_fract_z
Mg1 0.0000 0.0000 0.0000
Ni1 0.0000 0.4691 0.5000
Ni2 0.5000 0.9430 0.0000
Sb1 0.0000 0.1576 0.5000
Sb2 0.0000 0.7817 0.5000
Sb3 0.5000 0.3002 0.0000
Sb4 0.5000 0.6259 0.0000
O1 0.2006 0.9334 0.6965
O2 0.2089 0.6280 0.6866
O3 0.2236 0.3114 0.6859
O4 0.2861 0.7827 0.1838
O5 0.2891 0.1335 0.1497
O6 0.3040 0.4646 0.1745
O7 0.6960 0.4646 0.8255
O8 0.7109 0.1335 0.8503
O9 0.7139 0.7827 0.8162
O10 0.7764 0.3114 0.3141
O11 0.7911 0.6280 0.3134
O12 0.7994 0.9334 0.3035
```

Main lines, by angle (5 to 70 degrees two-theta):
2θ (°)  intensity
25.19  100
26.13  88
33.33  69
33.52  67
36.25  27
36.97  21
49.67  30
50.09  35
50.73  25
51.15  36
51.70  19
63.36  21


Computed XRD peak list of Mg3Si4Ni2O14 for Cu Kα (λ = 1.5418 Å), from a PBE+U-relaxed structure.

Structural model:
```
data_Mg3Si4Ni2O14
_cell_length_a 9.2408
_cell_length_b 9.2408
_cell_length_c 9.6668
_cell_angle_alpha 121.20
_cell_angle_beta 121.20
_cell_angle_gamma 47.56
_space_group_name_H-M_alt 'P 1'
_space_group_IT_number 1
_space_group_name_Hall 'P 1'
loop_
_atom_site_label
_atom_site_fract_x
_atom_site_fract_y
_atom_site_fract_z
Mg1 0.1218 0.8782 0.7500
Mg2 0.2492 0.4055 0.6012
Mg3 0.4055 0.2492 0.1012
Mg4 0.5945 0.7508 0.8988
Mg5 0.7508 0.5945 0.3988
Mg6 0.8782 0.1218 0.2500
Si1 0.0322 0.7277 0.8988
Si2 0.0372 0.5987 0.2942
Si3 0.2723 0.9678 0.6012
Si4 0.4013 0.9628 0.2058
Si5 0.5987 0.0372 0.7942
Si6 0.7277 0.0322 0.3988
Si7 0.9628 0.4013 0.7058
Si8 0.9678 0.2723 0.1012
Ni1 0.2813 0.7187 0.2500
Ni2 0.5000 0.5000 0.0000
Ni3 0.5000 0.5000 0.5000
Ni4 0.7187 0.2813 0.7500
O1 0.0089 0.5576 0.8823
O2 0.0170 0.5900 0.4454
O3 0.0388 0.8675 0.0904
O4 0.1325 0.9611 0.4096
O5 0.1416 0.1741 0.7368
O6 0.1741 0.1416 0.2368
O7 0.2077 0.6494 0.8255
O8 0.2584 0.5292 0.3060
O9 0.3506 0.7923 0.6745
O10 0.3773 0.4796 0.0821
O11 0.4100 0.9830 0.0546
O12 0.4424 0.9911 0.6177
O13 0.4708 0.7416 0.1940
O14 0.4796 0.3773 0.5821
O15 0.5204 0.6227 0.4179
O16 0.5292 0.2584 0.8060
O17 0.5576 0.0089 0.3823
O18 0.5900 0.0170 0.9454
O19 0.6227 0.5204 0.9179
O20 0.6494 0.2077 0.3255
O21 0.7416 0.4708 0.6940
O22 0.7923 0.3506 0.1745
O23 0.8259 0.8584 0.7632
O24 0.8584 0.8259 0.2632
O25 0.8675 0.0388 0.5904
O26 0.9611 0.1325 0.9096
O27 0.9830 0.4100 0.5546
O28 0.9911 0.4424 0.1177
```

Main lines, by angle (5 to 70 degrees two-theta):
2θ (°)  intensity
12.70  100
13.47  49
15.01  32
19.73  65
29.14  66
29.31  82
29.82  56
32.12  46
32.89  66
33.00  75
39.95  92
41.36  38


Computed XRD peak list of Mg6NiSnO8 for Cu Kα (λ = 1.5418 Å), from a PBE+U-relaxed structure.

Structural model:
```
data_Mg6NiSnO8
_cell_length_a 4.4172
_cell_length_b 4.4172
_cell_length_c 8.7998
_cell_angle_alpha 90.00
_cell_angle_beta 90.00
_cell_angle_gamma 90.00
_space_group_name_H-M_alt 'P 1'
_space_group_IT_number 1
_space_group_name_Hall 'P 1'
loop_
_atom_site_label
_atom_site_fract_x
_atom_site_fract_y
_atom_site_fract_z
Mg1 0.0000 0.0000 0.0000
Mg2 0.0000 0.0000 0.5000
Mg3 0.0000 0.5000 0.2350
Mg4 0.0000 0.5000 0.7650
Mg5 0.5000 0.0000 0.2350
Mg6 0.5000 0.0000 0.7650
Ni1 0.5000 0.5000 0.0000
Sn1 0.5000 0.5000 0.5000
O1 0.0000 0.0000 0.2487
O2 0.0000 0.0000 0.7513
O3 0.0000 0.5000 0.0000
O4 0.0000 0.5000 0.5000
O5 0.5000 0.0000 0.0000
O6 0.5000 0.0000 0.5000
O7 0.5000 0.5000 0.2320
O8 0.5000 0.5000 0.7680
```

Main lines, by angle (5 to 70 degrees two-theta):
2θ (°)  intensity
20.13  76
22.52  11
28.62  66
35.24  59
40.86  100
41.03  47
45.96  25
46.09  11
50.65  18
50.76  10
59.16  30
59.29  57